No. 1
For AcCeIn, a DFT-relaxed cell (PBE, Alexandria) gives the calculated powder XRD pattern in this record (copper Kα).
Lines closer than 0.1° are merged.

Largest 10 diffraction maxima, by angle, 5 to 70 degrees two-theta:
two_theta, d_spacing, Rel. int.
26.25, 3.395, 30.5
27.47, 3.247, 30.1
30.73, 2.910, 71.9
30.86, 2.897, 46.6
31.97, 2.799, 17.8
32.09, 2.790, 100.0
36.15, 2.485, 24.4
45.01, 2.014, 22.0
55.56, 1.654, 19.5
56.52, 1.628, 17.2

Structure:
Cell lengths 3.8692, 4.0282, 12.6284 Å; angles 90.00, 91.98, 90.00 degrees
Element x y z (fractional)
Ac  0.2390  0.2500  0.3783
Ac  0.7610  0.7500  0.6217
Ce  0.1667  0.2500  0.0561
Ce  0.8333  0.7500  0.9439
In  0.3018  0.2500  0.7961
In  0.6982  0.7500  0.2039

***

No. 2
For Ac2CeIn12Rh3, a DFT-relaxed cell (PBE, Alexandria) gives the calculated powder XRD pattern in this record (copper Kα).
Lines closer than 0.1° are merged.

Largest 10 diffraction maxima, by angle, 5 to 70 degrees two-theta:
two_theta, d_spacing, Rel. int.
22.04, 4.033, 65.8
22.76, 3.907, 22.8
30.02, 2.976, 100.0
30.70, 2.913, 71.7
32.27, 2.774, 70.8
35.24, 2.547, 37.4
37.90, 2.374, 70.7
45.43, 1.996, 20.1
49.43, 1.844, 25.6
58.04, 1.589, 55.4

Structure:
Cell lengths 8.7949, 8.7949, 8.7949 Å; angles 65.35, 65.35, 65.35 degrees
Element x y z (fractional)
Ac  0.0852  0.0852  0.0852
Ac  0.9148  0.9148  0.9148
Ce  0.5000  0.5000  0.5000
In  0.0416  0.6647  0.6647
In  0.2282  0.2282  0.6341
In  0.2282  0.6341  0.2282
In  0.3353  0.3353  0.9584
In  0.3353  0.9584  0.3353
In  0.3659  0.7718  0.7718
In  0.6341  0.2282  0.2282
In  0.6647  0.0416  0.6647
In  0.6647  0.6647  0.0416
In  0.7718  0.3659  0.7718
In  0.7718  0.7718  0.3659
In  0.9584  0.3353  0.3353
Rh  0.0000  0.5000  0.5000
Rh  0.5000  0.0000  0.5000
Rh  0.5000  0.5000  0.0000

***

No. 3
For AcCe2Zn2In2, a DFT-relaxed cell (PBE, Alexandria) gives the calculated powder XRD pattern in this record (copper Kα).
Lines closer than 0.1° are merged.

Largest 10 diffraction maxima, by angle, 5 to 70 degrees two-theta:
two_theta, d_spacing, Rel. int.
22.47, 3.957, 26.2
26.89, 3.316, 13.8
30.71, 2.911, 100.0
32.90, 2.722, 37.6
36.21, 2.481, 11.3
39.08, 2.305, 77.0
50.50, 1.807, 24.9
54.33, 1.689, 22.9
61.67, 1.504, 12.0
65.65, 1.422, 22.4

Structure:
Cell lengths 10.2742, 10.2742, 10.2742 Å; angles 25.93, 25.93, 25.93 degrees
Element x y z (fractional)
Ac  0.0000  0.0000  0.0000
Ce  0.1450  0.1450  0.1450
Ce  0.8550  0.8550  0.8550
Zn  0.4209  0.4209  0.4209
Zn  0.5791  0.5791  0.5791
In  0.2588  0.2588  0.2588
In  0.7412  0.7412  0.7412

***

No. 4
For Ac4CeIr3, a DFT-relaxed cell (PBE, Alexandria) gives the calculated powder XRD pattern in this record (copper Kα).
Lines closer than 0.1° are merged.

Largest 10 diffraction maxima, by angle, 5 to 70 degrees two-theta:
two_theta, d_spacing, Rel. int.
13.54, 6.541, 40.2
27.03, 3.299, 90.9
27.18, 3.281, 100.0
27.98, 3.188, 88.1
35.04, 2.561, 69.1
35.25, 2.546, 71.3
36.32, 2.473, 54.0
42.10, 2.146, 89.0
43.23, 2.093, 38.6
68.93, 1.362, 37.4

Structure:
Cell lengths 8.0925, 8.0925, 11.0905 Å; angles 111.14, 111.14, 55.21 degrees
Element x y z (fractional)
Ac  0.0216  0.3571  0.4135
Ac  0.1591  0.8409  0.5000
Ac  0.3571  0.0216  0.9135
Ac  0.4100  0.7683  0.2016
Ac  0.6185  0.9545  0.6022
Ac  0.7683  0.4100  0.7016
Ac  0.8409  0.1591  0.0000
Ac  0.9545  0.6185  0.1022
Ce  0.2305  0.5687  0.8006
Ce  0.5687  0.2305  0.3006
Ir  0.0025  0.9553  0.7458
Ir  0.2097  0.2250  0.6791
Ir  0.2250  0.2097  0.1791
Ir  0.5815  0.5837  0.9465
Ir  0.5837  0.5815  0.4465
Ir  0.9553  0.0025  0.2458

***

No. 5
For AcLa6Ce, a DFT-relaxed cell (PBE, Alexandria) gives the calculated powder XRD pattern in this record (copper Kα).
Lines closer than 0.1° are merged.

Largest 10 diffraction maxima, by angle, 5 to 70 degrees two-theta:
two_theta, d_spacing, Rel. int.
25.44, 3.502, 1.7
29.42, 3.036, 100.0
33.98, 2.638, 16.4
34.16, 2.625, 34.2
48.95, 1.861, 23.5
49.09, 1.856, 12.3
49.69, 1.835, 1.7
58.03, 1.589, 13.2
58.27, 1.584, 29.1
61.04, 1.518, 12.1

Structure:
Cell lengths 5.2495, 5.2495, 10.5527 Å; angles 90.00, 90.00, 90.00 degrees
Element x y z (fractional)
Ac  0.0000  0.0000  0.0000
La  0.0000  0.5000  0.2639
La  0.0000  0.5000  0.7361
La  0.5000  0.0000  0.2639
La  0.5000  0.0000  0.7361
La  0.5000  0.5000  0.0000
La  0.5000  0.5000  0.5000
Ce  0.0000  0.0000  0.5000

***

No. 6
For Ac4LaCe3S8, a DFT-relaxed cell (PBE, Alexandria) gives the calculated powder XRD pattern in this record (copper Kα).
Lines closer than 0.1° are merged.

Largest 10 diffraction maxima, by angle, 5 to 70 degrees two-theta:
two_theta, d_spacing, Rel. int.
25.96, 3.432, 22.6
26.09, 3.416, 66.5
30.18, 2.962, 100.0
43.12, 2.098, 37.1
43.28, 2.090, 37.1
51.02, 1.790, 11.8
51.19, 1.785, 34.5
53.67, 1.708, 19.6
62.75, 1.481, 12.2
69.26, 1.357, 9.4

Structure:
Cell lengths 8.3918, 8.3918, 8.3918 Å; angles 59.76, 59.76, 59.76 degrees
Element x y z (fractional)
Ac  0.0000  0.0000  0.0000
Ac  0.0000  0.5000  0.5000
Ac  0.5000  0.0000  0.5000
Ac  0.5000  0.5000  0.0000
La  0.5000  0.5000  0.5000
Ce  0.0000  0.0000  0.5000
Ce  0.0000  0.5000  0.0000
Ce  0.5000  0.0000  0.0000
S  0.2412  0.7467  0.7467
S  0.2441  0.2441  0.2441
S  0.2533  0.2533  0.7588
S  0.2533  0.7588  0.2533
S  0.7467  0.2412  0.7467
S  0.7467  0.7467  0.2412
S  0.7559  0.7559  0.7559
S  0.7588  0.2533  0.2533

***

No. 7
For Ac3LaCe2Sb6, a DFT-relaxed cell (PBE, Alexandria) gives the calculated powder XRD pattern in this record (copper Kα).
Lines closer than 0.1° are merged.

Largest 10 diffraction maxima, by angle, 5 to 70 degrees two-theta:
two_theta, d_spacing, Rel. int.
22.31, 3.985, 3.4
23.30, 3.817, 7.1
26.97, 3.306, 100.0
29.44, 3.034, 3.2
38.51, 2.337, 77.5
45.50, 1.993, 4.3
47.65, 1.909, 28.0
55.60, 1.653, 13.2
62.86, 1.478, 36.1
69.68, 1.350, 26.4

Structure:
Cell lengths 8.0937, 8.0937, 8.1032 Å; angles 99.58, 99.58, 120.00 degrees
Element x y z (fractional)
Ac  0.0000  0.0000  0.0000
Ac  0.3346  0.6654  0.0000
Ac  0.6654  0.3346  0.0000
La  0.5000  0.5000  0.5000
Ce  0.1672  0.8328  0.5000
Ce  0.8328  0.1672  0.5000
Sb  0.0839  0.4215  0.2650
Sb  0.2400  0.2400  0.7338
Sb  0.4215  0.0839  0.2650
Sb  0.5785  0.9161  0.7350
Sb  0.7600  0.7600  0.2662
Sb  0.9161  0.5785  0.7350

***

No. 8
For LiAc2CeTe5, a DFT-relaxed cell (PBE, Alexandria) gives the calculated powder XRD pattern in this record (copper Kα).
Lines closer than 0.1° are merged.

Largest 10 diffraction maxima, by angle, 5 to 70 degrees two-theta:
two_theta, d_spacing, Rel. int.
27.10, 3.290, 15.4
27.95, 3.193, 100.0
28.42, 3.140, 33.9
30.09, 2.970, 21.1
32.91, 2.721, 55.5
34.27, 2.617, 13.0
38.93, 2.314, 28.1
40.95, 2.204, 14.1
48.90, 1.863, 17.8
59.80, 1.547, 19.2

Structure:
Cell lengths 9.9546, 9.9546, 13.5893 Å; angles 90.00, 90.00, 153.12 degrees
Element x y z (fractional)
Li  0.0551  0.9449  0.5000
Li  0.9449  0.0551  0.0000
Ac  0.3751  0.6249  0.3426
Ac  0.3922  0.6078  0.7228
Ac  0.6078  0.3922  0.2228
Ac  0.6249  0.3751  0.8426
Ce  0.3006  0.6994  0.0459
Ce  0.6994  0.3006  0.5459
Te  0.0012  0.9988  0.8175
Te  0.1367  0.8633  0.0373
Te  0.1881  0.8119  0.3855
Te  0.2131  0.7869  0.7051
Te  0.4522  0.5478  0.1029
Te  0.5478  0.4522  0.6029
Te  0.7869  0.2131  0.2051
Te  0.8119  0.1881  0.8855
Te  0.8633  0.1367  0.5373
Te  0.9988  0.0012  0.3175

***

No. 9
For LiAcCeTl2, a DFT-relaxed cell (PBE, Alexandria) gives the calculated powder XRD pattern in this record (copper Kα).
Lines closer than 0.1° are merged.

Largest 10 diffraction maxima, by angle, 5 to 70 degrees two-theta:
two_theta, d_spacing, Rel. int.
26.25, 3.394, 22.1
29.11, 3.068, 16.8
29.93, 2.986, 38.5
30.29, 2.951, 15.9
31.97, 2.799, 100.0
40.23, 2.242, 15.3
42.24, 2.140, 11.8
54.43, 1.686, 22.8
58.24, 1.584, 12.9
60.24, 1.536, 9.7

Structure:
Cell lengths 5.9716, 7.1667, 6.7890 Å; angles 90.00, 90.00, 90.00 degrees
Element x y z (fractional)
Li  0.0000  0.0000  0.0000
Li  0.5000  0.0000  0.0000
Ac  0.2500  0.5000  0.2691
Ac  0.7500  0.5000  0.7309
Ce  0.2500  0.0000  0.4231
Ce  0.7500  0.0000  0.5769
Tl  0.2500  0.2686  0.7874
Tl  0.2500  0.7314  0.7874
Tl  0.7500  0.2686  0.2126
Tl  0.7500  0.7314  0.2126

***

No. 10
For AcCeLu, a DFT-relaxed cell (PBE, Alexandria) gives the calculated powder XRD pattern in this record (copper Kα).
Lines closer than 0.1° are merged.

Largest 10 diffraction maxima, by angle, 5 to 70 degrees two-theta:
two_theta, d_spacing, Rel. int.
24.80, 3.591, 4.0
30.03, 2.976, 100.0
34.30, 2.615, 35.8
35.81, 2.507, 15.0
49.03, 1.858, 3.0
49.29, 1.849, 13.1
50.43, 1.810, 23.0
58.80, 1.570, 30.5
60.81, 1.523, 12.2
62.41, 1.488, 12.2

Structure:
Cell lengths 3.6976, 3.6976, 15.0443 Å; angles 90.00, 90.00, 90.00 degrees
Element x y z (fractional)
Ac  0.0000  0.0000  0.0000
Ac  0.5000  0.5000  0.5000
Ce  0.0000  0.0000  0.3293
Ce  0.5000  0.5000  0.8293
Lu  0.0000  0.0000  0.6784
Lu  0.5000  0.5000  0.1784

***

No. 11
For AcTbCeLu, a DFT-relaxed cell (PBE, Alexandria) gives the calculated powder XRD pattern in this record (copper Kα).
Lines closer than 0.1° are merged.

Largest 9 diffraction maxima, by angle, 5 to 70 degrees two-theta:
two_theta, d_spacing, Rel. int.
18.74, 4.736, 3.0
30.83, 2.900, 100.0
36.32, 2.473, 1.9
44.16, 2.051, 18.9
48.37, 1.882, 0.9
54.83, 1.674, 40.2
58.46, 1.579, 0.7
64.23, 1.450, 12.5
67.56, 1.387, 0.7

Structure:
Cell lengths 8.2027, 8.2027, 8.2027 Å; angles 90.00, 90.00, 90.00 degrees
Element x y z (fractional)
Ac  0.0000  0.0000  0.0000
Ac  0.0000  0.5000  0.5000
Ac  0.5000  0.0000  0.5000
Ac  0.5000  0.5000  0.0000
Tb  0.2500  0.2500  0.2500
Tb  0.2500  0.7500  0.7500
Tb  0.7500  0.2500  0.7500
Tb  0.7500  0.7500  0.2500
Ce  0.0000  0.0000  0.5000
Ce  0.0000  0.5000  0.0000
Ce  0.5000  0.0000  0.0000
Ce  0.5000  0.5000  0.5000
Lu  0.2500  0.2500  0.7500
Lu  0.2500  0.7500  0.2500
Lu  0.7500  0.2500  0.2500
Lu  0.7500  0.7500  0.7500

***

No. 12
For Ac2CeMgS6, a DFT-relaxed cell (PBE, Alexandria) gives the calculated powder XRD pattern in this record (copper Kα).
Lines closer than 0.1° are merged.

Largest 10 diffraction maxima, by angle, 5 to 70 degrees two-theta:
two_theta, d_spacing, Rel. int.
17.34, 5.114, 56.9
24.48, 3.636, 100.0
24.75, 3.597, 91.7
30.38, 2.942, 29.3
35.09, 2.557, 60.2
39.22, 2.297, 40.8
42.93, 2.107, 19.6
43.42, 2.084, 52.5
43.58, 2.077, 38.8
57.14, 1.612, 18.5

Structure:
Cell lengths 7.2728, 7.2728, 7.2728 Å; angles 59.29, 59.29, 59.29 degrees
Element x y z (fractional)
Ac  0.0000  0.0000  0.0000
Ac  0.4972  0.4972  0.4972
Ce  0.7174  0.7174  0.7174
Mg  0.2187  0.2187  0.2187
S  0.0696  0.8713  0.4377
S  0.3604  0.5624  0.9455
S  0.4377  0.0696  0.8713
S  0.5624  0.9455  0.3604
S  0.8713  0.4377  0.0696
S  0.9455  0.3604  0.5624